Theoretical powder X-ray diffraction pattern of Tb12Ni6Pb for λ = 1.5418 Å (Cu Kα), from the PBE geometry in the Materials Project.
No peak broadening, texture or thermal motion is included.

Principal peaks in the range 10 to 90 degrees two-theta, in order of falling intensity:
(3 1 2), 34.35°, intensity 100.0
(3 0 1), 28.90°, intensity 43.6
(2 2 2), 31.73°, intensity 40.8
(5 2 3), 58.21°, intensity 36.2
(5 3 0), 54.79°, intensity 31.8
(5 0 1), 47.45°, intensity 22.1
(5 3 4), 67.83°, intensity 18.5
(8 2 2), 84.07°, intensity 16.8
(7 0 5), 85.50°, intensity 16.0
(4 0 0), 36.80°, intensity 15.7
(6 0 0), 56.52°, intensity 13.3
(6 5 3), 82.63°, intensity 11.2

Structural model:
a b c (Å): 9.7697 9.7697 9.7697
angles (deg): 90.00 90.00 90.00
Space group Im-3 (No. 204)
Symmetry-distinct sites (fractional):
Tb1 0.0000 0.3050 0.1876 [24 per cell]
Ni1 0.0000 0.1240 0.5000 [12 per cell]
Pb1 0.0000 0.0000 0.0000 [2 per cell]

***

Theoretical powder X-ray diffraction pattern of Ce3CuSiS7 for λ = 1.5418 Å (Cu Kα), from the PBE geometry in the Materials Project.
No peak broadening, texture or thermal motion is included.

Principal peaks in the range 10 to 90 degrees two-theta, in order of falling intensity:
(2 0 1), 25.36°, intensity 100.0
(3 1 0), 36.65°, intensity 58.7
(2 1 2), 41.30°, intensity 52.9
(1 3 1), 39.94°, intensity 52.9
(1 1 1), 23.25°, intensity 43.3
(0 0 2), 30.93°, intensity 42.2
(2 2 0), 35.16°, intensity 41.9
(2 1 0), 26.68°, intensity 38.9
(2 2 2), 47.52°, intensity 35.1
(1 0 0), 10.01°, intensity 33.0
(3 1 2), 48.70°, intensity 31.2
(1 0 2), 32.59°, intensity 28.3

Structural model:
a b c (Å): 10.2084 10.2084 5.7817
angles (deg): 90.00 90.00 120.00
Space group P6_3 (No. 173)
Symmetry-distinct sites (fractional):
Ce1 0.1238 0.7677 0.0000 [6 per cell]
Cu1 0.0000 0.0000 0.0234 [2 per cell]
Si1 0.3333 0.6667 0.4139 [2 per cell]
S1 0.0860 0.8357 0.5120 [6 per cell]
S2 0.1123 0.5243 0.2719 [6 per cell]
S3 0.3333 0.6667 0.7793 [2 per cell]

***

Theoretical powder X-ray diffraction pattern of MgCo4S8 for λ = 1.5418 Å (Cu Kα), from the PBE geometry in the Materials Project.
No peak broadening, texture or thermal motion is included.

Principal peaks in the range 10 to 90 degrees two-theta, in order of falling intensity:
(1 1 0), 15.49°, intensity 100.0
(4 0 0), 36.28°, intensity 72.2
(4 0 -4), 52.20°, intensity 34.6
(2 0 1), 29.91°, intensity 18.0
(6 2 -2), 52.33°, intensity 17.0
(2 0 -3), 39.63°, intensity 13.5
(3 3 -2), 47.74°, intensity 10.7
(8 0 -4), 65.31°, intensity 8.8
(1 3 -1), 40.72°, intensity 7.8
(5 1 -4), 54.78°, intensity 7.4
(5 1 -2), 39.72°, intensity 6.7
(1 3 -2), 47.66°, intensity 6.7

Structural model:
a b c (Å): 12.1080 7.0027 7.0113
angles (deg): 90.00 125.17 90.00
Space group Cm (No. 8)
Symmetry-distinct sites (fractional):
Mg1 0.0000 0.0000 0.0000 [2 per cell]
Co1 0.1402 0.0000 0.4158 [2 per cell]
Co2 0.1412 0.0000 0.8653 [2 per cell]
Co3 0.3634 0.2204 0.8642 [4 per cell]
S1 0.1323 0.2591 0.1324 [4 per cell]
S2 0.1429 0.2165 0.6425 [4 per cell]
S3 0.3603 0.0000 0.6415 [2 per cell]
S4 0.3612 0.0000 0.0809 [2 per cell]
S5 0.3717 0.5000 0.1343 [2 per cell]
S6 0.3721 0.5000 0.6103 [2 per cell]

***

Theoretical powder X-ray diffraction pattern of RbMg6AlO8 for λ = 1.5418 Å (Cu Kα), from the PBE geometry in the Materials Project.
No peak broadening, texture or thermal motion is included.

Principal peaks in the range 10 to 90 degrees two-theta, in order of falling intensity:
(2 0 0), 39.15°, intensity 100.0
(2 0 4), 59.26°, intensity 46.9
(0 0 4), 42.64°, intensity 34.7
(1 1 2), 34.75°, intensity 34.6
(2 2 0), 56.56°, intensity 30.0
(2 2 4), 73.34°, intensity 23.1
(0 0 1), 10.43°, intensity 17.3
(1 0 0), 19.29°, intensity 15.1
(1 0 1), 21.97°, intensity 14.0
(1 0 2), 28.62°, intensity 13.7
(3 1 2), 68.12°, intensity 13.5
(1 0 3), 37.33°, intensity 9.8

Structural model:
a b c (Å): 4.6024 4.6024 8.4807
angles (deg): 90.00 90.00 90.00
Space group P4/mmm (No. 123)
Symmetry-distinct sites (fractional):
Rb1 0.0000 0.0000 0.0000 [1 per cell]
Mg1 0.0000 0.5000 0.2476 [4 per cell]
Mg2 0.5000 0.5000 0.0000 [1 per cell]
Mg3 0.5000 0.5000 0.5000 [1 per cell]
Al1 0.0000 0.0000 0.5000 [1 per cell]
O1 0.0000 0.0000 0.2954 [2 per cell]
O2 0.0000 0.5000 0.0000 [2 per cell]
O3 0.0000 0.5000 0.5000 [2 per cell]
O4 0.5000 0.5000 0.2532 [2 per cell]

***

Theoretical powder X-ray diffraction pattern of MgC2S2N6O14 for λ = 1.5418 Å (Cu Kα), from the PBE geometry in the Materials Project.
No peak broadening, texture or thermal motion is included.

Principal peaks in the range 10 to 90 degrees two-theta, in order of falling intensity:
(1 0 2), 18.99°, intensity 100.0
(2 1 -1), 22.19°, intensity 60.4
(1 1 0), 15.19°, intensity 34.2
(1 1 -1), 16.13°, intensity 29.5
(3 0 0), 27.88°, intensity 25.8
(0 1 2), 19.20°, intensity 24.4
(2 0 0), 18.49°, intensity 22.9
(0 1 3), 25.53°, intensity 16.9
(1 1 -3), 25.67°, intensity 14.6
(3 1 -1), 30.08°, intensity 14.3
(1 1 -2), 20.05°, intensity 13.9
(2 2 -1), 30.69°, intensity 13.9

Structural model:
a b c (Å): 9.7779 7.3454 12.1148
angles (deg): 90.00 100.98 90.00
Space group P2_1/c (No. 14)
Symmetry-distinct sites (fractional):
Mg1 0.0000 0.0000 0.0000 [2 per cell]
C1 0.3610 0.0522 0.7340 [4 per cell]
S1 0.2438 0.5681 0.8790 [4 per cell]
N1 0.3362 0.2020 0.6684 [4 per cell]
N2 0.3698 0.0647 0.8471 [4 per cell]
N3 0.3786 0.6104 0.1863 [4 per cell]
O1 0.0251 0.7241 0.9941 [4 per cell]
O2 0.0610 0.5868 0.3529 [4 per cell]
O3 0.0888 0.6296 0.8453 [4 per cell]
O4 0.2087 0.6006 0.5138 [4 per cell]
O5 0.2451 0.1070 0.4346 [4 per cell]
O6 0.3015 0.5625 0.7749 [4 per cell]
O7 0.3266 0.7130 0.9511 [4 per cell]

***

Theoretical powder X-ray diffraction pattern of Re4BiO12 for λ = 1.5418 Å (Cu Kα), from the PBE geometry in the Materials Project.
No peak broadening, texture or thermal motion is included.

Principal peaks in the range 10 to 90 degrees two-theta, in order of falling intensity:
(0 1 0), 15.70°, intensity 100.0
(0 1 -2), 21.18°, intensity 74.0
(1 0 1), 21.66°, intensity 64.7
(1 1 -3), 30.62°, intensity 39.4
(1 1 3), 29.96°, intensity 37.9
(1 2 1), 32.03°, intensity 34.5
(2 1 -2), 42.39°, intensity 34.2
(0 1 2), 21.35°, intensity 32.5
(1 1 1), 22.20°, intensity 31.2
(1 0 -3), 30.33°, intensity 30.2
(0 2 0), 31.70°, intensity 26.2
(0 1 1), 17.28°, intensity 22.7

Structural model:
a b c (Å): 4.5926 6.0206 12.4475
angles (deg): 89.84 88.49 69.67
Space group P1 (No. 1)
Symmetry-distinct sites (fractional):
Re1 0.0000 0.0000 0.0000 [1 per cell]
Re2 0.0653 0.1376 0.6396 [1 per cell]
Re3 0.4595 0.0450 0.5003 [1 per cell]
Re4 0.6232 0.0630 0.1655 [1 per cell]
Bi1 0.6867 0.4572 0.3310 [1 per cell]
O1 0.1165 0.6978 0.9808 [1 per cell]
O2 0.2674 0.0125 0.7533 [1 per cell]
O3 0.2757 0.1084 0.0652 [1 per cell]
O4 0.3517 0.3339 0.4325 [1 per cell]
O5 0.3875 0.8282 0.4200 [1 per cell]
O6 0.3991 0.3787 0.2055 [1 per cell]
O7 0.6387 0.7738 0.1963 [1 per cell]
O8 0.7289 0.4337 0.5896 [1 per cell]
O9 0.7727 0.1781 0.9031 [1 per cell]
O10 0.8177 0.9691 0.5791 [1 per cell]
O11 0.9107 0.0798 0.2652 [1 per cell]
O12 0.9737 0.4725 0.6550 [1 per cell]

***

Theoretical powder X-ray diffraction pattern of TeO for λ = 1.5418 Å (Cu Kα), from the PBE geometry in the Materials Project.
No peak broadening, texture or thermal motion is included.

Principal peaks in the range 10 to 90 degrees two-theta, in order of falling intensity:
(1 0 1), 34.63°, intensity 100.0
(0 0 2), 25.21°, intensity 37.3
(1 0 3), 50.78°, intensity 33.4
(1 0 2), 41.29°, intensity 32.2
(1 1 0), 57.31°, intensity 19.0
(1 1 2), 63.59°, intensity 18.0
(1 1 4), 80.85°, intensity 13.5
(2 0 1), 68.72°, intensity 13.3
(1 0 0), 32.15°, intensity 10.7
(1 0 5), 75.45°, intensity 10.2
(0 0 4), 51.76°, intensity 8.7
(2 0 3), 80.07°, intensity 8.7

Structural model:
a b c (Å): 3.2152 3.2152 7.0646
angles (deg): 90.00 90.00 120.00
Space group P6_3/mmc (No. 194)
Symmetry-distinct sites (fractional):
Te1 0.3333 0.6667 0.2500 [2 per cell]
O1 0.0000 0.0000 0.0000 [2 per cell]